The following is a calculated PXRD pattern of P2W2O11. It was derived from DFT lattice parameters and positions (PBE+U), using Cu Ka.
Peak positions follow from Bragg's law for the DFT cell and can differ from measured ones.

Top 10 peaks for 10 to 90 degrees two-theta, most intense first:
21.11 deg, rel. 100; 25.15 deg, rel. 67; 25.45 deg, rel. 66; 17.74 deg, rel. 62; 27.74 deg, rel. 60; 43.66 deg, rel. 30; 38.00 deg, rel. 28; 35.13 deg, rel. 28; 22.81 deg, rel. 25; 22.37 deg, rel. 24

Structural model:
```
data_P2W2O11
_chemical_formula_sum 'P4 W4 O22'
_cell_length_a 7.797
_cell_length_b 7.950
_cell_length_c 6.432
_cell_angle_alpha 90.00
_cell_angle_beta 90.00
_cell_angle_gamma 90.00
_symmetry_space_group_name_H-M 'P n n m'
_symmetry_Int_Tables_number 58
_symmetry_space_group_name_Hall '-P 2 2n'
loop_
_atom_site_label
_atom_site_fract_x
_atom_site_fract_y
_atom_site_fract_z
P1 0.117 0.247 0.000
W1 0.185 0.157 0.500
O1 0.000 0.000 0.500
O2 0.067 0.341 0.500
O3 0.083 0.768 0.000
O4 0.170 0.429 0.000
O5 0.188 0.148 0.190
```